[1]
Diffraction record for CrCl2F4. The powder XRD pattern is computed, not measured: it uses a GGA+U-relaxed structure and Cu Kα (weighted mean of Kα1 and Kα2).
Peak positions follow from Bragg's law for the DFT cell and can differ from measured ones.

Top 10 peaks for 2θ = 10–90°, most intense first:
| d_spacing | Position (°2θ) | I/Imax |
| --- | --- | --- |
| 4.343 | 20.4 | 100 |
| 8.319 | 10.6 | 49 |
| 4.632 | 19.2 | 45 |
| 2.510 | 35.8 | 28 |
| 3.044 | 29.3 | 27 |
| 2.475 | 36.3 | 25 |
| 1.991 | 45.6 | 20 |
| 4.159 | 21.4 | 18 |
| 3.395 | 26.2 | 10 |
| 1.632 | 56.4 | 8 |

Atomic structure:
```
CrCl2F4
1.0
3.047 0.000 0.000
0.059 5.331 0.000
0.353 0.591 8.319
Cr Cl F
1 2 4
direct
0.000 0.000 0.000
0.008 0.425 0.394
0.992 0.575 0.606
0.022 0.745 0.861
0.492 0.843 0.118
0.508 0.157 0.882
0.978 0.255 0.139
```

=====

[2]
Diffraction record for Sr2GdMnCrO7. The powder XRD pattern is computed, not measured: it uses a GGA+U-relaxed structure and Cu Kα (weighted mean of Kα1 and Kα2).
Peak positions follow from Bragg's law for the DFT cell and can differ from measured ones.

Top 10 peaks for 2θ = 10–90°, most intense first:
| d_spacing | Position (°2θ) | I/Imax |
| --- | --- | --- |
| 2.796 | 32.0 | 100 |
| 2.731 | 32.8 | 62 |
| 1.589 | 58.1 | 37 |
| 1.931 | 47.1 | 37 |
| 2.124 | 42.6 | 29 |
| 1.628 | 56.5 | 17 |
| 3.793 | 23.5 | 17 |
| 1.398 | 66.9 | 15 |
| 2.027 | 44.7 | 14 |
| 2.317 | 38.9 | 12 |

Atomic structure:
```
Sr2GdMnCrO7
1.0
-1.931 1.931 10.135
1.931 -1.931 10.135
1.931 1.931 -10.135
Sr Gd Mn Cr O
2 1 1 1 7
direct
0.000 0.000 0.000
0.368 0.368 0.000
0.184 0.184 0.000
0.587 0.587 0.000
0.780 0.780 0.000
0.094 0.594 0.500
0.271 0.771 0.500
0.491 0.491 0.000
0.594 0.094 0.500
0.681 0.681 0.000
0.771 0.271 0.500
0.878 0.878 0.000
```

=====

[3]
Diffraction record for Pa2VF11. The powder XRD pattern is computed, not measured: it uses a GGA+U-relaxed structure and Cu Kα (weighted mean of Kα1 and Kα2).
Peak positions follow from Bragg's law for the DFT cell and can differ from measured ones.

Top 10 peaks for 2θ = 10–90°, most intense first:
| d_spacing | Position (°2θ) | I/Imax |
| --- | --- | --- |
| 3.743 | 23.8 | 100 |
| 5.468 | 16.2 | 44 |
| 4.090 | 21.7 | 25 |
| 2.690 | 33.3 | 19 |
| 4.214 | 21.1 | 19 |
| 2.071 | 43.7 | 18 |
| 5.125 | 17.3 | 18 |
| 1.873 | 48.6 | 15 |
| 2.044 | 44.3 | 13 |
| 2.037 | 44.5 | 10 |

Atomic structure:
```
Pa2VF11
1.0
-4.326 5.125 5.468
4.326 -5.125 5.468
4.326 5.125 -5.468
Pa V F
4 2 22
direct
0.193 0.132 0.324
0.307 0.632 0.939
0.693 0.368 0.061
0.807 0.868 0.676
0.250 0.750 0.500
0.750 0.250 0.500
0.000 0.000 0.000
0.023 0.432 0.720
0.054 0.902 0.666
0.205 0.855 0.060
0.211 0.932 0.409
0.236 0.388 0.334
0.264 0.598 0.152
0.289 0.697 0.720
0.295 0.355 0.650
0.446 0.112 0.848
0.477 0.197 0.409
0.500 0.500 0.000
0.523 0.803 0.591
0.554 0.888 0.152
0.705 0.645 0.350
0.711 0.303 0.280
0.736 0.402 0.848
0.764 0.612 0.666
0.789 0.068 0.591
0.795 0.145 0.940
0.946 0.098 0.334
0.977 0.568 0.280
```